For CuAg2, a cell relaxed with GGA-PBE gives the computed XRD peak list in this record (λ = 1.5418 Å (Cu Kα)).

Largest 10 diffraction maxima, by angle, 10° ≤ 2θ ≤ 90°:
two_theta  d_spacing  Rel. int.  h k l
36.2  2.484  159  1 0 7
39.1  2.301  1000  1 0 9
41.8  2.163  75  0 0 16
44.6  2.031  413  1 1 0
47.3  1.923  74  0 0 18
62.8  1.481  84  1 1 16
64.9  1.436  126  2 0 0
67.0  1.396  98  1 1 18
76.4  1.247  63  1 0 25
78.5  1.218  236  2 1 9

Structural model:
Lattice parameters (Å, degrees): 2.8724 2.8724 34.6054 90.00 90.00 90.00
Space group I4mm (No. 107)
Unique sites:
Cu1 0.0000 0.0000 0.0000
Cu2 0.0000 0.0000 0.1064
Cu3 0.0000 0.0000 0.6489
Ag1 0.0000 0.0000 0.2018
Ag2 0.0000 0.0000 0.3249
Ag3 0.0000 0.0000 0.4475
Ag4 0.0000 0.0000 0.5530
Ag5 0.0000 0.0000 0.7636
Ag6 0.0000 0.0000 0.8860

For Ba2Nb15O32, a cell relaxed with GGA-PBE gives the computed XRD peak list in this record (λ = 1.5418 Å (Cu Kα)).

Largest 10 diffraction maxima, by angle, 10° ≤ 2θ ≤ 90°:
two_theta  d_spacing  Rel. int.  h k l
23.9  3.726  627  0 1 8
27.3  3.269  846  1 1 6
28.2  3.164  1000  0 2 4
29.2  3.061  596  2 0 5
30.5  2.928  353  0 1 11
35.1  2.554  373  3 -1 1
36.5  2.461  532  3 -1 4
40.6  2.221  410  1 2 8
50.5  1.807  663  1 2 14
62.9  1.479  484  4 1 0

Structural model:
Lattice parameters (Å, degrees): 7.8238 7.8238 35.7191 90.00 90.00 120.00
Space group R-3 (No. 148, hexagonal axes)
Unique sites:
Ba1 0.0000 0.0000 0.1382
Nb1 0.0000 0.0000 0.3607
Nb2 0.0000 0.0000 0.5000
Nb3 0.0270 0.8075 0.0332
Nb4 0.0683 0.5896 0.8996
O1 0.0000 0.0000 0.2619
O2 0.0238 0.8004 0.5318
O3 0.0340 0.8000 0.9311
O4 0.0576 0.8216 0.7950
O5 0.0611 0.8265 0.3966
O6 0.0641 0.8245 0.6675

For GdErSi2, a cell relaxed with GGA-PBE gives the computed XRD peak list in this record (λ = 1.5418 Å (Cu Kα)).

Largest 10 diffraction maxima, by angle, 10° ≤ 2θ ≤ 90°:
two_theta  d_spacing  Rel. int.  h k l
27.4  3.250  311  0 2 1
28.0  3.181  402  1 0 1
30.3  2.952  1000  1 1 1
32.5  2.754  728  1 2 0
33.4  2.681  807  0 1 2
36.2  2.479  417  1 2 1
37.6  2.394  452  0 3 1
41.1  2.197  372  1 1 2
53.0  1.728  404  1 3 2
59.3  1.560  313  2 1 2

Structural model:
Lattice parameters (Å, degrees): 3.8346 7.9142 5.6986 90.00 90.00 90.00
Space group Pmn2_1 (No. 31)
Unique sites:
Gd1 0.0000 0.0717 0.0000
Er1 0.0000 0.5698 0.2704
Si1 0.0000 0.2157 0.5157
Si2 0.0000 0.7084 0.7578